1.
Structure and simulated powder X-ray diffraction pattern of LaNd7Mg2 (DFT lattice parameters and positions (GGA-PBE); Cu Ka).
Intensities are scaled so that the largest is 100.

Cell and atoms:
a = 8.923 Å, b = 3.452 Å, c = 11.777 Å
α = 90.00°, β = 111.02°, γ = 90.00°
Space group P2/m (No. 10)
One atom of each set of equivalent atoms:
La  0.000  0.000  0.000
Nd  0.000  0.500  0.500
Nd  0.194  0.500  0.806
Nd  0.221  0.500  0.311
Nd  0.399  0.000  0.616
Mg  0.401  0.500  0.103

Main lines, sorted by position (2θ from 15° to 90°):
d 3.186, I = 17; d 2.956, I = 25; d 2.940, I = 100; d 2.923, I = 11; d 2.862, I = 37; d 2.730, I = 10; d 2.658, I = 13; d 2.432, I = 13; d 1.853, I = 10; d 1.489, I = 21

2.
Structure and simulated powder X-ray diffraction pattern of La3Nd8Mg (DFT lattice parameters and positions (GGA-PBE); Cu Ka).
Intensities are scaled so that the largest is 100.

Cell and atoms:
a = 8.817 Å, b = 8.817 Å, c = 11.558 Å
α = 90.00°, β = 90.00°, γ = 90.00°
Space group I-42m (No. 121)
One atom of each set of equivalent atoms:
La  0.000  0.000  0.000
La  0.000  0.500  0.250
Nd  0.125  0.125  0.252
Nd  0.247  0.247  0.503
Mg  0.000  0.000  0.500

Main lines, sorted by position (2θ from 15° to 90°):
d 3.732, I = 89; d 3.505, I = 100; d 3.117, I = 80; d 2.889, I = 80; d 2.756, I = 41; d 2.511, I = 90; d 2.119, I = 54; d 2.060, I = 53; d 1.866, I = 33; d 1.372, I = 33